The following is a computed XRD peak list of Co2PClO4. It was derived from a GGA+U-relaxed structure, using Cu Kα.
No peak broadening, texture or thermal motion is included.

Structure:
```
data_Co2PClO4
_symmetry_space_group_name_H-M 'A m a 2'
_symmetry_Int_Tables_number 40
_symmetry_space_group_name_Hall 'A 2 -2a'
_cell_length_a 12.082
_cell_length_b 8.538
_cell_length_c 4.399
_cell_angle_alpha 90.00
_cell_angle_beta 90.00
_cell_angle_gamma 90.00
loop_
_atom_site_label
_atom_site_type_symbol
_atom_site_fract_x
_atom_site_fract_y
_atom_site_fract_z
Co1 Co 0.126 0.171 0.000
P1 P 0.250 0.340 0.519
Cl1 Cl 0.000 0.000 0.230
O1 O 0.142 0.260 0.411
O2 O 0.250 0.017 0.926
O3 O 0.250 0.326 0.871
```

Principal peaks in the range 10 to 90 degrees two-theta, most intense first:
| Position (°2θ) | d/Å | I/Imax | index |
| --- | --- | --- | --- |
| 22.74 | 3.910 | 100 | 0 1 1 |
| 37.64 | 2.390 | 56 | 0 3 1 |
| 30.52 | 2.929 | 56 | 3 2 0 |
| 31.90 | 2.805 | 54 | 3 1 1 |
| 36.44 | 2.466 | 46 | 4 2 0 |
| 48.58 | 1.874 | 38 | 4 3 1 |
| 20.81 | 4.269 | 33 | 0 2 0 |
| 23.92 | 3.720 | 28 | 1 1 1 |